No. 1
Diffraction record for Rb2P2Pd3. The X-ray diffraction stick pattern is theoretical, not measured: it uses DFT lattice parameters and positions (GGA-PBE) and λ = 1.5418 Å (Cu Kα).
Intensities are scaled so that the largest is 100.

Main lines, in order of rising 2θ (15° ≤ 2θ ≤ 90°):
d [Å], I_rel, (hkl)
5.036, 33, 0 1 1
3.303, 42, 1 1 -2
3.125, 39, 0 2 1
3.021, 100, 2 1 -1
2.903, 38, 2 1 0
2.820, 46, 1 0 2
2.667, 67, 1 2 1
2.425, 61, 1 1 -3
1.824, 26, 3 1 1
1.679, 30, 4 0 -2

Cell and atoms:
abc: 6.764 6.903 7.784
angles: 90.00 108.92 90.00
Space group P2_1/c (No. 14)
Symmetry-distinct sites (fractional):
Rb  0.194  0.106  0.425 [4 per cell]
P  0.334  0.639  0.615 [4 per cell]
Pd  0.000  0.000  0.000 [2 per cell]
Pd  0.424  0.622  0.347 [4 per cell]

---

No. 2
Diffraction record for Pr2DyTl4. The X-ray diffraction stick pattern is theoretical, not measured: it uses DFT lattice parameters and positions (GGA-PBE) and λ = 1.5418 Å (Cu Kα).
Intensities are scaled so that the largest is 100.

Main lines, in order of rising 2θ (15° ≤ 2θ ≤ 90°):
d [Å], I_rel, (hkl)
5.050, 8, 1 0 1
3.783, 10, 1 1 0
3.391, 9, 1 1 2
2.690, 100, 1 1 4
2.675, 54, 2 0 0
1.891, 20, 2 2 0
1.556, 15, 2 0 8
1.547, 38, 3 1 4
1.345, 9, 2 2 8
1.196, 9, 4 2 0

Cell and atoms:
abc: 5.350 5.350 15.309
angles: 90.00 90.00 90.00
Space group I4/mmm (No. 139)
Symmetry-distinct sites (fractional):
Pr  0.000  0.000  0.248 [4 per cell]
Dy  0.000  0.000  0.500 [2 per cell]
Tl  0.000  0.500  0.110 [8 per cell]